[1]
Structure and computed PXRD pattern of Nd3TmTe4 (a cell relaxed with GGA-PBE; Cu Ka).
Peak positions follow from Bragg's law for the DFT cell and can differ from measured ones.

Unit cell a=9.053 b=12.597 c=4.376 alpha=90.00 beta=90.00 gamma=90.00
Space group Cmmm (No. 65)
Inequivalent atoms, fractional coordinates:
1 Nd 0.000 0.000 0.000 x2
2 Nd 0.250 0.250 0.500 x4
3 Tm 0.000 0.500 0.000 x2
4 Te 0.000 0.256 0.000 x4
5 Te 0.238 0.500 0.500 x4

The 12 most intense peaks (2θ = 5–70°), sorted by position:
d (Å), I/Imax, (hkl)
7.351, 1, 1 1 0
3.676, 1, 2 2 0
3.147, 100, 2 0 1
2.263, 13, 4 0 0
2.226, 51, 2 4 1
2.188, 12, 0 0 2
1.838, 14, 4 4 0
1.797, 13, 0 4 2
1.574, 13, 4 0 2
1.426, 6, 6 0 1
1.408, 23, 4 4 2
1.388, 6, 2 0 3

[2]
Structure and computed PXRD pattern of Nd3Tm2Te6 (a cell relaxed with GGA-PBE; Cu Ka).
Peak positions follow from Bragg's law for the DFT cell and can differ from measured ones.

Unit cell a=4.3934 b=4.3934 c=66.4973 alpha=90.00 beta=90.00 gamma=120.00
Space group R-3m (No. 166, hexagonal axes)
Inequivalent atoms, fractional coordinates:
1 Nd 0.0000 0.0000 0.0000 x3
2 Nd 0.0000 0.0000 0.2768 x6
3 Tm 0.0000 0.0000 0.4486 x6
4 Te 0.0000 0.0000 0.0864 x6
5 Te 0.0000 0.0000 0.1948 x6
6 Te 0.0000 0.0000 0.3618 x6

The 12 most intense peaks (2θ = 5–70°), sorted by position:
d (Å), I/Imax, (hkl)
7.389, 6, 0 0 9
3.220, 100, 0 1 11
2.970, 13, 0 1 14
2.367, 23, 1 0 22
2.197, 42, 1 1 0
2.180, 19, 1 0 25
1.847, 6, 0 0 36
1.815, 19, 2 0 11
1.610, 7, 0 2 22
1.547, 6, 0 2 25
1.414, 15, 1 1 36
1.399, 16, 1 2 11

[3]
Structure and computed PXRD pattern of Nd6TmTe8 (a cell relaxed with GGA-PBE; Cu Ka).
Peak positions follow from Bragg's law for the DFT cell and can differ from measured ones.

Unit cell a=12.661 b=12.661 c=12.661 alpha=90.00 beta=90.00 gamma=90.00
Space group Fm-3m (No. 225)
Inequivalent atoms, fractional coordinates:
1 Nd 0.000 0.250 0.250 x24
2 Tm 0.000 0.000 0.000 x4
3 Te 0.000 0.000 0.247 x24
4 Te 0.250 0.250 0.250 x8

The 12 most intense peaks (2θ = 5–70°), sorted by position:
d (Å), I/Imax, (hkl)
7.310, 8, 1 1 1
6.331, 2, 2 0 0
4.476, 2, 2 2 0
3.818, 4, 3 1 1
3.165, 100, 4 0 0
2.905, 2, 3 3 1
2.437, 2, 5 1 1
2.238, 76, 4 4 0
2.140, 2, 5 3 1
1.827, 27, 4 4 4
1.583, 13, 8 0 0
1.416, 35, 8 4 0

[4]
Structure and computed PXRD pattern of Nd2UTe5 (a cell relaxed with GGA-PBE; Cu Ka).
Peak positions follow from Bragg's law for the DFT cell and can differ from measured ones.

Unit cell a=4.390 b=4.398 c=26.870 alpha=90.00 beta=90.00 gamma=90.00
Space group Pmm2 (No. 25)
Inequivalent atoms, fractional coordinates:
1 Nd 0.000 0.000 0.000 x1
2 Nd 0.000 0.000 0.327 x1
3 Nd 0.000 0.000 0.659 x1
4 Nd 0.500 0.500 0.501 x1
5 U 0.500 0.500 0.173 x1
6 U 0.500 0.500 0.843 x1
7 Te 0.000 0.000 0.203 x1
8 Te 0.000 0.000 0.536 x1
9 Te 0.000 0.000 0.877 x1
10 Te 0.000 0.500 0.087 x1
11 Te 0.000 0.500 0.414 x1
12 Te 0.000 0.500 0.754 x1
13 Te 0.500 0.000 0.754 x1
14 Te 0.500 0.500 0.293 x1
15 Te 0.500 0.500 0.625 x1
16 Te 0.500 0.500 0.965 x1

The 12 most intense peaks (2θ = 5–70°), sorted by position:
d (Å), I/Imax, (hkl)
3.945, 35, 1 0 3
3.136, 25, 1 0 6
3.107, 56, 1 1 0
2.986, 30, 0 0 9
2.935, 72, 1 1 3
2.553, 100, 1 1 6
2.469, 74, 0 1 9
2.197, 68, 2 0 0
1.770, 26, 2 0 9
1.659, 24, 1 0 15
1.641, 43, 2 1 9
1.553, 26, 2 2 0

[5]
Structure and computed PXRD pattern of Nd4Y3Te8 (a cell relaxed with GGA-PBE; Cu Ka).
Peak positions follow from Bragg's law for the DFT cell and can differ from measured ones.

Unit cell a=12.496 b=12.503 c=8.840 alpha=90.00 beta=134.97 gamma=90.00
Space group C2/m (No. 12)
Inequivalent atoms, fractional coordinates:
1 Nd 0.000 0.000 0.000 x2
2 Nd 0.000 0.500 0.500 x2
3 Nd 0.250 0.250 0.000 x4
4 Y 0.000 0.500 0.000 x2
5 Y 0.250 0.250 0.500 x4
6 Te 0.000 0.242 0.500 x4
7 Te 0.000 0.254 0.000 x4
8 Te 0.245 0.000 0.507 x4
9 Te 0.245 0.000 0.984 x4

The 12 most intense peaks (2θ = 5–70°), sorted by position:
d (Å), I/Imax, (hkl)
7.218, 3, 1 1 -1
6.254, 2, 0 0 1
4.419, 2, 2 2 -1
3.770, 5, 3 1 -1
3.126, 100, 0 4 0
2.868, 5, 3 3 -1
2.406, 2, 3 3 -3
2.210, 75, 4 0 0
1.805, 27, 4 4 0
1.628, 3, 7 3 -3
1.563, 12, 0 8 0
1.398, 34, 4 0 2

[6]
Structure and computed PXRD pattern of Nd6YTe8 (a cell relaxed with GGA-PBE; Cu Ka).
Peak positions follow from Bragg's law for the DFT cell and can differ from measured ones.

Unit cell a=12.668 b=12.668 c=12.668 alpha=90.00 beta=90.00 gamma=90.00
Space group Fm-3m (No. 225)
Inequivalent atoms, fractional coordinates:
1 Nd 0.000 0.250 0.250 x24
2 Y 0.000 0.000 0.000 x4
3 Te 0.000 0.000 0.250 x24
4 Te 0.250 0.250 0.250 x8

The 12 most intense peaks (2θ = 5–70°), sorted by position:
d (Å), I/Imax, (hkl)
7.314, 2, 1 1 1
6.334, 5, 2 0 0
4.479, 5, 2 2 0
3.819, 1, 3 1 1
3.167, 100, 4 0 0
2.833, 3, 4 2 0
2.586, 2, 4 2 2
2.239, 76, 4 4 0
2.111, 2, 6 0 0
1.828, 27, 4 4 4
1.583, 13, 8 0 0
1.416, 35, 8 4 0

[7]
Structure and computed PXRD pattern of Nd3YTe4 (a cell relaxed with GGA-PBE; Cu Ka).
Peak positions follow from Bragg's law for the DFT cell and can differ from measured ones.

Unit cell a=4.3611 b=4.3611 c=30.6690 alpha=90.00 beta=90.00 gamma=120.00
Space group P6_3/mmc (No. 194)
Inequivalent atoms, fractional coordinates:
1 Nd 0.0000 0.0000 0.0000 x2
2 Nd 0.3333 0.6667 0.1253 x4
3 Y 0.3333 0.6667 0.7500 x2
4 Te 0.0000 0.0000 0.1893 x4
5 Te 0.3333 0.6667 0.5630 x4

The 12 most intense peaks (2θ = 5–70°), sorted by position:
d (Å), I/Imax, (hkl)
3.388, 36, 1 0 4
3.216, 100, 1 0 5
3.038, 81, 1 0 6
2.381, 47, 1 0 10
2.243, 37, 1 0 11
2.181, 85, 1 1 0
1.917, 19, 0 0 16
1.805, 19, 2 0 5
1.771, 17, 2 0 6
1.440, 44, 1 1 16
1.390, 16, 2 1 5
1.375, 14, 2 1 6

[8]
Structure and computed PXRD pattern of NdY2Te3 (a cell relaxed with GGA-PBE; Cu Ka).
Peak positions follow from Bragg's law for the DFT cell and can differ from measured ones.

Unit cell a=4.418 b=6.218 c=13.261 alpha=90.00 beta=90.00 gamma=90.00
Space group Immm (No. 71)
Inequivalent atoms, fractional coordinates:
1 Nd 0.000 0.000 0.000 x2
2 Y 0.000 0.000 0.341 x4
3 Te 0.000 0.500 0.000 x2
4 Te 0.000 0.500 0.325 x4

The 12 most intense peaks (2θ = 5–70°), sorted by position:
d (Å), I/Imax, (hkl)
3.165, 4, 1 1 2
3.125, 100, 1 0 3
3.109, 50, 0 2 0
2.440, 2, 0 1 5
2.210, 37, 2 0 0
2.204, 75, 1 2 3
1.801, 39, 2 2 0
1.562, 12, 2 0 6
1.554, 6, 0 4 0
1.397, 16, 3 0 3
1.396, 16, 2 2 6
1.392, 17, 1 4 3

[9]
Structure and computed PXRD pattern of NdY4Te6 (a cell relaxed with GGA-PBE; Cu Ka).
Peak positions follow from Bragg's law for the DFT cell and can differ from measured ones.

Unit cell a=4.305 b=14.331 c=22.330 alpha=90.00 beta=90.00 gamma=90.00
Space group Cmcm (No. 63)
Inequivalent atoms, fractional coordinates:
1 Nd 0.000 0.154 0.250 x4
2 Y 0.000 0.089 0.625 x8
3 Y 0.000 0.356 0.535 x8
4 Te 0.000 0.000 0.000 x4
5 Te 0.000 0.182 0.750 x4
6 Te 0.000 0.266 0.093 x8
7 Te 0.000 0.447 0.663 x8

The 12 most intense peaks (2θ = 5–70°), sorted by position:
d (Å), I/Imax, (hkl)
3.303, 69, 0 2 6
3.166, 41, 1 3 1
3.075, 100, 1 3 2
2.938, 55, 1 3 3
2.914, 19, 0 2 7
2.523, 18, 1 1 7
2.311, 31, 1 1 8
2.195, 58, 0 6 4
2.153, 37, 2 0 0
2.105, 28, 0 6 5
1.803, 24, 2 2 6
1.537, 21, 2 6 4

[10]
Structure and computed PXRD pattern of Nd3ZnTe3 (a cell relaxed with GGA-PBE; Cu Ka).
Peak positions follow from Bragg's law for the DFT cell and can differ from measured ones.

Unit cell a=13.123 b=4.230 c=15.262 alpha=90.00 beta=90.00 gamma=90.00
Space group Pnma (No. 62)
Inequivalent atoms, fractional coordinates:
1 Nd 0.063 0.250 0.114 x4
2 Nd 0.116 0.250 0.565 x4
3 Nd 0.249 0.250 0.838 x4
4 Zn 0.017 0.250 0.759 x4
5 Te 0.058 0.250 0.361 x4
6 Te 0.157 0.750 0.977 x4
7 Te 0.219 0.750 0.689 x4

The 12 most intense peaks (2θ = 5–70°), sorted by position:
d (Å), I/Imax, (hkl)
3.557, 24, 2 1 0
3.208, 22, 4 0 1
3.157, 100, 1 1 3
3.014, 44, 4 0 2
2.982, 27, 3 1 1
2.914, 28, 2 1 3
2.769, 61, 2 0 5
2.601, 30, 2 1 4
2.592, 54, 4 1 0
2.316, 35, 2 1 5
2.207, 25, 5 1 1
2.115, 44, 0 2 0

[11]
Structure and computed PXRD pattern of Nd5ZnTe2 (a cell relaxed with GGA-PBE; Cu Ka).
Peak positions follow from Bragg's law for the DFT cell and can differ from measured ones.

Unit cell a=6.173 b=13.167 c=13.361 alpha=90.00 beta=90.00 gamma=90.00
Space group Cmcm (No. 63)
Inequivalent atoms, fractional coordinates:
1 Nd 0.000 0.053 0.112 x8
2 Nd 0.000 0.363 0.750 x4
3 Nd 0.000 0.375 0.067 x8
4 Zn 0.000 0.235 0.250 x4
5 Te 0.000 0.185 0.588 x8

The 12 most intense peaks (2θ = 5–70°), sorted by position:
d (Å), I/Imax, (hkl)
3.689, 54, 0 2 3
3.087, 89, 2 0 0
2.867, 40, 1 1 4
2.789, 100, 1 3 3
2.647, 33, 0 4 3
2.422, 20, 1 5 0
2.383, 21, 1 5 1
2.367, 33, 2 2 3
2.227, 22, 0 0 6
2.009, 29, 2 4 3
1.806, 25, 2 0 6
1.719, 24, 3 3 3

[12]
Structure and computed PXRD pattern of Nd2ZrTe5 (a cell relaxed with GGA-PBE; Cu Ka).
Peak positions follow from Bragg's law for the DFT cell and can differ from measured ones.

Unit cell a=6.089 b=14.888 c=14.485 alpha=90.00 beta=90.00 gamma=90.00
Space group Cmcm (No. 63)
Inequivalent atoms, fractional coordinates:
1 Nd 0.000 0.154 0.061 x8
2 Zr 0.000 0.190 0.750 x4
3 Te 0.000 0.047 0.623 x8
4 Te 0.000 0.274 0.250 x4
5 Te 0.000 0.316 0.588 x8

The 12 most intense peaks (2θ = 5–70°), sorted by position:
d (Å), I/Imax, (hkl)
7.444, 48, 0 2 0
5.635, 82, 1 1 0
4.051, 69, 0 2 3
3.256, 19, 0 2 4
3.044, 100, 2 0 0
2.948, 94, 0 4 3
2.636, 31, 1 3 4
2.434, 36, 2 2 3
2.414, 21, 0 0 6
2.340, 34, 1 5 3
2.118, 73, 2 4 3
1.892, 20, 2 0 6